Mg2ZnAgAu4: calculated PXRD pattern (λ = 1.5418 Å (Cu Kα)), based on a cell relaxed with GGA-PBE.
Neutral-atom scattering factors, no anomalous dispersion.

Cell and atoms:
Cell: 4.564 4.564 6.703 Å, 90.00 90.00 90.00°
Space group P4/mmm (No. 123)
Symmetry-distinct sites (fractional):
Mg (0.000, 0.000, 0.000)
Mg (0.500, 0.500, 0.500)
Zn (0.000, 0.000, 0.500)
Ag (0.500, 0.500, 0.000)
Au (0.000, 0.500, 0.263)

Largest 12 diffraction maxima, low angle first, 2θ = 15–90°:
d_spacing, 2theta, I_rel
3.351, 26.60, 19
3.228, 27.64, 36
2.325, 38.73, 100
2.282, 39.49, 48
1.886, 48.24, 16
1.676, 54.78, 9
1.614, 57.07, 16
1.454, 64.04, 7
1.443, 64.57, 7
1.351, 69.61, 17
1.326, 71.12, 34
1.162, 83.09, 11